# 1
# Bi2B3Pt8
Calculated powder XRD pattern, copper Kα. Input: a GGA-PBE-relaxed structure.

The 10 most intense peaks (10° ≤ 2θ ≤ 80°), in order of rising 2θ:
| 2θ/deg | Rel. int. |
| --- | --- |
| 26.14 | 16 |
| 26.98 | 28 |
| 32.31 | 32 |
| 34.30 | 21 |
| 35.47 | 51 |
| 35.79 | 44 |
| 36.95 | 46 |
| 39.64 | 100 |
| 42.30 | 61 |
| 57.16 | 19 |

Lattice parameters (Å, degrees): 7.5784 7.5784 5.9248 103.56 103.56 43.21
Fractional coordinates of all 13 atoms:
Bi 0.2469 0.2469 0.2139
Bi 0.7531 0.7531 0.7861
B 0.2720 0.7280 0.5000
B 0.5000 0.5000 0.0000
B 0.7280 0.2720 0.5000
Pt 0.1041 0.1041 0.4771
Pt 0.1555 0.6680 0.1135
Pt 0.3320 0.8445 0.8865
Pt 0.4093 0.4093 0.6540
Pt 0.5907 0.5907 0.3460
Pt 0.6680 0.1555 0.1135
Pt 0.8445 0.3320 0.8865
Pt 0.8959 0.8959 0.5229

***

# 2
# BaPmCuO4
Calculated powder XRD pattern, copper Kα. Input: a GGA-PBE-relaxed structure.

The 10 most intense peaks (10° ≤ 2θ ≤ 80°), in order of rising 2θ:
| 2θ/deg | Rel. int. |
| --- | --- |
| 22.42 | 100 |
| 23.64 | 29 |
| 30.05 | 70 |
| 30.34 | 54 |
| 31.62 | 72 |
| 32.21 | 34 |
| 37.71 | 45 |
| 38.41 | 50 |
| 45.76 | 41 |
| 60.32 | 32 |

Lattice parameters (Å, degrees): 5.8904 5.6586 7.3127 90.00 109.31 90.00
Fractional coordinates of all 14 atoms:
Ba 0.2050 0.2500 0.4286
Ba 0.7950 0.7500 0.5714
Pm 0.2894 0.2500 0.9545
Pm 0.7106 0.7500 0.0455
Cu 0.2610 0.7500 0.1914
Cu 0.7390 0.2500 0.8086
O 0.0452 0.7500 0.3338
O 0.0489 0.7500 0.9336
O 0.4965 0.5123 0.2131
O 0.4965 0.9877 0.2131
O 0.5035 0.0123 0.7869
O 0.5035 0.4877 0.7869
O 0.9511 0.2500 0.0664
O 0.9548 0.2500 0.6662

***

Repeat the first record exactly.
# Bi2B3Pt8
Calculated powder XRD pattern, copper Kα. Input: a GGA-PBE-relaxed structure.

The 10 most intense peaks (10° ≤ 2θ ≤ 80°), in order of rising 2θ:
| 2θ/deg | Rel. int. |
| --- | --- |
| 26.14 | 16 |
| 26.98 | 28 |
| 32.31 | 32 |
| 34.30 | 21 |
| 35.47 | 51 |
| 35.79 | 44 |
| 36.95 | 46 |
| 39.64 | 100 |
| 42.30 | 61 |
| 57.16 | 19 |

Lattice parameters (Å, degrees): 7.5784 7.5784 5.9248 103.56 103.56 43.21
Fractional coordinates of all 13 atoms:
Bi 0.2469 0.2469 0.2139
Bi 0.7531 0.7531 0.7861
B 0.2720 0.7280 0.5000
B 0.5000 0.5000 0.0000
B 0.7280 0.2720 0.5000
Pt 0.1041 0.1041 0.4771
Pt 0.1555 0.6680 0.1135
Pt 0.3320 0.8445 0.8865
Pt 0.4093 0.4093 0.6540
Pt 0.5907 0.5907 0.3460
Pt 0.6680 0.1555 0.1135
Pt 0.8445 0.3320 0.8865
Pt 0.8959 0.8959 0.5229